Calculated X-ray diffraction stick pattern
Compound: Ca4Mg3H14
Radiation: Cu Kα (λ = 1.5418 Å)
Structure: DFT lattice parameters and positions (GGA-PBE)
No peak broadening, texture or thermal motion is included.

Cell and atoms:
Cell lengths 6.195, 6.195, 6.839 Å; angles 90.00, 90.00, 120.00 degrees
Element x y z (fractional)
Ca 0.000 0.000 0.233
Ca 0.000 0.000 0.767
Ca 0.333 0.667 0.000
Ca 0.667 0.333 0.000
Mg 0.000 0.563 0.500
Mg 0.437 0.437 0.500
Mg 0.563 0.000 0.500
H 0.000 0.230 0.500
H 0.000 0.264 0.000
H 0.000 0.613 0.223
H 0.000 0.613 0.777
H 0.230 0.000 0.500
H 0.264 0.000 0.000
H 0.333 0.667 0.500
H 0.387 0.387 0.223
H 0.387 0.387 0.777
H 0.613 0.000 0.223
H 0.613 0.000 0.777
H 0.667 0.333 0.500
H 0.736 0.736 0.000
H 0.770 0.770 0.500

Main lines, in order of falling intensity (2θ = 5–70°):
d = 2.883 Å, rel. 100, (1 0 2); d = 2.821 Å, rel. 71, (1 1 1); d = 3.097 Å, rel. 59, (1 1 0); d = 1.744 Å, rel. 42, (2 1 2); d = 2.497 Å, rel. 28, (2 0 1); d = 1.364 Å, rel. 23, (3 1 2); d = 2.682 Å, rel. 21, (2 0 0); d = 1.788 Å, rel. 18, (3 0 0); d = 1.737 Å, rel. 17, (2 0 3); d = 1.549 Å, rel. 13, (2 2 0)